The following is a simulated powder diffraction line list of Na3Mn3NbO8. It was derived from a crystal structure in Alexandria, relaxed with PBE+U, using Cu Kα X-rays.
Lines closer than 0.1° are merged.

Crystal structure
Lattice parameters (Å, degrees): 6.115 6.136 6.564 62.32 62.65 61.30
Space group P-1 (No. 2)
Inequivalent atoms, fractional coordinates:
Na  0.000  0.000  0.000 (multiplicity 1)
Na  0.000  0.500  0.000 (multiplicity 1)
Na  0.500  0.000  0.000 (multiplicity 1)
Mn  0.000  0.500  0.500 (multiplicity 1)
Mn  0.500  0.000  0.500 (multiplicity 1)
Mn  0.500  0.500  0.500 (multiplicity 1)
Nb  0.000  0.000  0.500 (multiplicity 1)
O  0.208  0.747  0.306 (multiplicity 2)
O  0.229  0.226  0.296 (multiplicity 2)
O  0.255  0.793  0.696 (multiplicity 2)
O  0.259  0.262  0.685 (multiplicity 2)

Top 6 peaks for 5 to 70 degrees two-theta, by angle:
2θ/deg  I (rel.)
16.01  100.0
32.34  16.1
35.12  20.8
39.81  33.3
40.08  32.6
40.59  31.1